The following is a computed powder X-ray diffraction pattern of RbV2Tc2. It was derived from a cell relaxed with GGA-PBE, using Cu Ka.
Peak positions follow from Bragg's law for the DFT cell and can differ from measured ones.

Most intense lines, 2θ = 5–70°, low angle first:
12.9°, intensity 93
25.9°, intensity 34
29.3°, intensity 77
33.7°, intensity 100
44.5°, intensity 53
50.9°, intensity 65

Atomic structure:
abc: 7.4517 7.4517 7.4517
angles: 148.26 148.26 45.50
Fractional positions:
Rb  0.0000  0.0000  0.0000
V  0.3474  0.3474  0.0000
V  0.6526  0.6526  0.0000
Tc  0.2500  0.7500  0.5000
Tc  0.7500  0.2500  0.5000